The following is a computed PXRD pattern of YWO4F. It was derived from a cell relaxed with GGA+U, using copper Kα.
Intensities are scaled so that the largest is 100.

Crystal structure
Cell: 9.6325 7.4271 7.1264 Å, 90.00 108.88 90.00°
Space group C2/m (No. 12)
Asymmetric unit:
1 Y 0.2023 0.0000 0.1142
2 W 0.1517 0.5000 0.2785
3 O 0.0449 0.5000 0.7822
4 O 0.2079 0.3080 0.1601
5 O 0.2387 0.5000 0.5428
6 F 0.0166 0.0000 0.8323

Top 10 peaks for 2θ from 10° to 80°, by intensity:
| 2θ/deg | intensity | (hkl) |
| --- | --- | --- |
| 24.0 | 100 | 0 2 0 |
| 27.8 | 77 | 1 1 -2 |
| 19.7 | 51 | 2 0 -1 |
| 22.3 | 47 | 1 1 1 |
| 26.9 | 45 | 2 0 1 |
| 19.5 | 40 | 2 0 0 |
| 15.4 | 37 | 1 1 0 |
| 31.2 | 33 | 2 2 -1 |
| 34.9 | 32 | 3 1 -2 |
| 46.3 | 30 | 1 1 3 |